# 1
Simulated X-ray diffraction stick pattern
Compound: K6Zn4Sn5S17
Radiation: Cu Kα (λ = 1.5418 Å)
Structure: the GGA-PBE geometry in the Materials Project

```
32
Lattice="4.9408 -9.9091 0.0000 4.9408 9.9091 0.0000 -4.8790 0.0000 9.8874" Properties=species:S:1:pos:R:3 pbc="T T T"
K 0.0000 0.0000 0.0000
K 4.9990 -5.0774 4.7637
K 4.9408 4.7945 0.0000
K 0.0036 -5.0774 5.1238
K 4.9408 -0.3515 0.0000
K 2.5013 -8.4203 4.9437
Zn -1.3003 -3.7507 8.5239
Zn 3.5925 -6.4802 1.3500
Zn 6.3029 -3.7507 1.3635
Zn 1.4100 -6.4802 8.5374
Sn 2.2218 2.5877 2.2091
Sn 2.5013 -0.1887 4.9437
Sn 2.7807 2.5877 7.6783
Sn 2.7626 -2.9108 2.2054
Sn 2.2400 -2.9108 7.6820
S -0.0626 2.0227 2.7586
S -2.1255 2.0336 9.8196
S 2.7751 4.8560 2.7448
S -2.7051 -2.3822 9.8244
S 2.2274 4.8560 7.1427
S 1.1152 -1.5897 3.5205
S 1.1301 1.2573 6.3631
S -0.0200 -2.3612 7.1263
S 3.8724 1.2573 3.5243
S 2.1926 -5.2065 2.7541
S 7.1280 2.0336 0.0679
S 4.9408 -5.1211 0.0000
S 5.0225 -2.3612 2.7611
S 5.0651 2.0227 7.1288
S 3.8873 -1.5897 6.3670
S 2.8099 -5.2065 7.1334
S 7.7077 -2.3822 0.0631
```

Top 10 peaks for 2θ from 10° to 80°, low angle first:
d 8.074, I 100; d 4.944, I 25; d 4.426, I 14; d 3.500, I 35; d 3.300, I 27; d 3.213, I 32; d 2.696, I 24; d 2.516, I 14; d 1.751, I 17; d 1.711, I 14


# 2
Simulated X-ray diffraction stick pattern
Compound: Hf9FeRe4
Radiation: Cu Kα (λ = 1.5418 Å)
Structure: the GGA-PBE geometry in the Materials Project

```
28
Lattice="8.5890 0.0000 0.0000 -4.2945 7.4383 0.0000 0.0000 0.0000 8.4253" Properties=species:S:1:pos:R:3 pbc="T T T"
Hf -1.6420 4.0108 2.1063
Hf 0.0000 2.9784 4.7031
Hf 0.0000 2.9784 7.9349
Hf -1.7151 5.9491 4.7031
Hf -1.7151 5.9491 7.9349
Hf 2.5794 1.4892 0.4904
Hf 2.5794 1.4892 3.7223
Hf 1.6420 4.0108 2.1063
Hf 0.0000 6.8549 2.1063
Hf 4.2945 0.5834 6.3190
Hf 2.6524 3.4275 6.3190
Hf 1.7151 5.9491 4.7031
Hf 1.7151 5.9491 7.9349
Hf 6.0096 1.4892 0.4904
Hf 6.0096 1.4892 3.7223
Hf 4.2945 4.4599 0.4904
Hf 4.2945 4.4599 3.7223
Hf 5.9365 3.4275 6.3190
Fe 0.0000 4.9588 6.3190
Fe 4.2945 2.4794 2.1063
Re 0.0000 0.0000 0.0000
Re 0.0000 0.0000 4.2127
Re 0.0000 1.6395 2.1063
Re -2.8746 6.6185 2.1063
Re 1.4198 0.8198 6.3190
Re 2.8746 6.6185 2.1063
Re 7.1691 0.8197 6.3190
Re 4.2945 5.7988 6.3190
```

Top 10 peaks for 2θ from 10° to 80°, low angle first:
d 7.438, I 20; d 2.627, I 25; d 2.379, I 74; d 2.338, I 100; d 2.241, I 46; d 2.147, I 21; d 1.458, I 27; d 1.431, I 18; d 1.403, I 22; d 1.394, I 27


# 3
Simulated X-ray diffraction stick pattern
Compound: Rb3InO3
Radiation: Cu Kα (λ = 1.5418 Å)
Structure: the GGA-PBE geometry in the Materials Project

```
28
Lattice="7.1608 0.0000 0.0000 0.0000 7.1068 0.0000 -7.0354 0.0000 13.0665" Properties=species:S:1:pos:R:3 pbc="T T T"
Rb -1.3852 0.5845 4.1475
Rb -4.9029 2.9689 10.6807
Rb -2.6724 3.8954 8.0450
Rb 0.8453 6.7648 1.5118
Rb -2.2254 0.4005 7.9254
Rb 1.2923 3.1529 1.3921
Rb -1.1668 3.9539 11.6744
Rb 2.3509 6.7063 5.1411
Rb -0.7199 0.3420 11.5548
Rb 2.7978 3.2114 5.0215
Rb 5.0283 4.1379 2.3858
Rb 1.5106 6.5223 8.9191
In -0.5149 4.4690 5.4106
In -4.0326 6.1912 11.9439
In 4.1580 0.9156 1.1226
In 0.6403 2.6378 7.6559
O -5.8914 5.2737 12.1093
O -2.3737 5.3865 5.5760
O 0.4533 4.9413 3.6303
O -3.0644 5.7189 10.1636
O -4.2731 1.1386 12.5716
O -0.7554 2.4148 6.0383
O 0.8809 4.6920 7.0282
O 4.3986 5.9682 0.4949
O 3.1898 1.3879 2.9029
O -0.3279 2.1655 9.4362
O 2.4991 1.7203 7.4905
O 6.0168 1.8331 0.9572
```

Top 10 peaks for 2θ from 10° to 80°, low angle first:
d 6.247, I 34; d 3.267, I 53; d 3.183, I 78; d 3.152, I 48; d 3.127, I 100; d 3.096, I 46; d 2.866, I 38; d 2.857, I 49; d 2.588, I 41; d 1.723, I 38


# 4
Simulated X-ray diffraction stick pattern
Compound: LuAlO3
Radiation: Cu Kα (λ = 1.5418 Å)
Structure: the GGA-PBE geometry in the Materials Project

```
5
Lattice="3.6772 0.0000 0.0000 0.0000 3.6772 0.0000 0.0000 0.0000 3.6772" Properties=species:S:1:pos:R:3 pbc="T T T"
Lu 0.0000 0.0000 0.0000
Al 1.8386 1.8386 1.8386
O 0.0000 1.8386 1.8386
O 1.8386 0.0000 1.8386
O 1.8386 1.8386 0.0000
```

Top 8 peaks for 2θ from 10° to 80°, low angle first:
d 3.677, I 59; d 2.600, I 100; d 2.123, I 41; d 1.839, I 32; d 1.645, I 27; d 1.501, I 39; d 1.300, I 19; d 1.226, I 13


# 5
Simulated X-ray diffraction stick pattern
Compound: Sc3InS6
Radiation: Cu Kα (λ = 1.5418 Å)
Structure: the GGA-PBE geometry in the Materials Project

```
40
Lattice="12.8421 0.0000 0.0000 0.0000 16.1675 0.0000 0.0000 0.0000 3.6827" Properties=species:S:1:pos:R:3 pbc="T T T"
Sc 0.4489 3.6590 0.9122
Sc 2.4567 10.4182 0.9159
Sc 3.1701 6.2471 0.8545
Sc 3.2509 14.3309 2.8282
Sc 3.9643 2.3344 2.7667
Sc 5.9721 11.7428 2.7705
Sc 6.8700 4.4247 2.7705
Sc 8.8778 13.8331 2.7667
Sc 9.5912 1.8366 2.8282
Sc 9.6720 9.9204 0.8545
Sc 10.3854 5.7493 0.9159
Sc 12.3932 12.5085 0.9122
In 0.0000 0.0000 3.1948
In 0.0000 8.0838 2.7425
In 6.4211 0.0000 0.9402
In 6.4211 8.0838 0.4879
S 0.2760 6.3097 0.9052
S 1.3382 14.5826 1.0038
S 1.3942 1.9791 2.7674
S 1.5180 12.0203 2.7685
S 2.3188 4.5867 2.7166
S 2.5537 8.4491 2.7588
S 3.8673 0.3653 0.9239
S 4.1023 12.6704 0.9661
S 4.9030 3.9365 0.9142
S 5.0268 10.0629 0.9153
S 5.0828 6.4988 2.6789
S 6.1451 14.3934 2.7775
S 6.6970 1.7741 2.7775
S 7.7593 9.6687 2.6789
S 7.8153 6.1047 0.9153
S 7.9391 12.2310 0.9142
S 8.7399 3.4971 0.9661
S 8.9748 15.8022 0.9239
S 10.2884 7.7184 2.7588
S 10.5233 11.5809 2.7166
S 11.3241 4.1472 2.7685
S 11.4479 14.1885 2.7674
S 11.5039 1.5850 1.0038
S 12.5662 9.8579 0.9052
```

Top 10 peaks for 2θ from 10° to 80°, low angle first:
d 6.421, I 62; d 5.028, I 69; d 3.421, I 94; d 3.243, I 86; d 2.984, I 59; d 2.663, I 100; d 2.639, I 97; d 2.479, I 77; d 2.039, I 59; d 1.938, I 66


# 6
Simulated X-ray diffraction stick pattern
Compound: PrIn5Ir
Radiation: Cu Kα (λ = 1.5418 Å)
Structure: the GGA-PBE geometry in the Materials Project

```
7
Lattice="4.7300 0.0000 0.0000 0.0000 4.7300 0.0000 0.0000 0.0000 7.6180" Properties=species:S:1:pos:R:3 pbc="T T T"
Pr 0.0000 0.0000 0.0000
In 0.0000 2.3650 2.3214
In 0.0000 2.3650 5.2966
In 2.3650 0.0000 2.3214
In 2.3650 0.0000 5.2966
In 2.3650 2.3650 0.0000
Ir 0.0000 0.0000 3.8090
```

Top 10 peaks for 2θ from 10° to 80°, low angle first:
d 4.730, I 17; d 4.018, I 14; d 3.062, I 14; d 2.967, I 11; d 2.513, I 100; d 2.365, I 54; d 2.022, I 9; d 1.731, I 11; d 1.672, I 18; d 1.392, I 31